For HoPu3Se4, the PBE geometry in Alexandria gives the theoretical powder diffraction line list in this record (Cu Kα X-rays).

Structural model:
Cell lengths 5.829, 5.829, 5.829 Å; angles 90.00, 90.00, 90.00 degrees
Fractional coordinates of all 8 atoms:
Ho1 0.000 0.000 0.000
Pu1 0.000 0.500 0.500
Pu2 0.500 0.000 0.500
Pu3 0.500 0.500 0.000
Se1 0.000 0.000 0.500
Se2 0.000 0.500 0.000
Se3 0.500 0.000 0.000
Se4 0.500 0.500 0.500

Main lines, low angle first (2θ = 10–90°):
- hkl 1 0 0, 2θ = 15.20°, intensity 2
- hkl 1 1 0, 2θ = 21.56°, intensity 2
- hkl 1 1 1, 2θ = 26.48°, intensity 40
- hkl 2 0 0, 2θ = 30.67°, intensity 100
- hkl 2 2 0, 2θ = 43.93°, intensity 76
- hkl 3 1 1, 2θ = 52.03°, intensity 21
- hkl 2 2 2, 2θ = 54.53°, intensity 27
- hkl 4 0 0, 2θ = 63.87°, intensity 13
- hkl 3 3 1, 2θ = 70.40°, intensity 9
- hkl 4 2 0, 2θ = 72.52°, intensity 35
- hkl 4 2 2, 2θ = 80.76°, intensity 26
- hkl 5 1 1, 2θ = 86.81°, intensity 7